Record 1
The following is a theoretical powder diffractogram of Pm3Cd3Rh2. It was derived from a crystal structure in Alexandria, relaxed with GGA-PBE, using λ = 1.5418 Å (Cu Kα).
Peak positions follow from Bragg's law for the DFT cell and can differ from measured ones.

Atomic structure:
Unit cell a=8.559 b=8.559 c=5.210 alpha=100.61 beta=100.61 gamma=31.65
Positions (direct):
Pm1 0.000 0.000 0.000
Pm2 0.169 0.169 0.595
Pm3 0.831 0.831 0.405
Cd1 0.369 0.369 0.913
Cd2 0.500 0.500 0.500
Cd3 0.631 0.631 0.087
Rh1 0.222 0.222 0.129
Rh2 0.778 0.778 0.871

Peak list (10 most intense, 10 to 90 degrees two-theta, in order of rising 2θ)
2θ (°)  d/Å  I_rel
28.9  3.091  32
32.6  2.747  100
33.3  2.694  19
33.7  2.658  35
34.7  2.584  35
35.5  2.527  60
38.6  2.334  51
51.8  1.765  20
52.9  1.732  21
61.2  1.515  18

Record 2
The following is a theoretical powder diffractogram of NpMnOs. It was derived from a crystal structure in Alexandria, relaxed with GGA-PBE, using λ = 1.5418 Å (Cu Kα).
Peak positions follow from Bragg's law for the DFT cell and can differ from measured ones.

Atomic structure:
Unit cell a=4.507 b=4.507 c=2.765 alpha=90.00 beta=90.00 gamma=120.00
Positions (direct):
Np1 0.000 0.000 0.000
Mn1 0.667 0.333 0.284
Os1 0.333 0.667 0.697

Peak list (10 most intense, 10 to 90 degrees two-theta, in order of rising 2θ)
2θ (°)  d/Å  I_rel
22.8  3.903  22
32.4  2.765  5
40.0  2.255  100
46.5  1.952  4
52.4  1.747  8
57.8  1.594  18
72.5  1.303  10
72.7  1.301  27
86.2  1.128  7
86.3  1.127  6